Entry 1:
Theoretical powder XRD pattern of CsGeBr3 for Cu Kα X-rays, from a DFT-relaxed cell (GGA-PBE, the Materials Project).
Neutral-atom scattering factors, no anomalous dispersion.

The 10 most intense peaks (2θ from 10° to 80°), low angle first:
d [Å], two_theta, I/Imax
4.135, 21.5, 23
4.005, 22.2, 19
3.391, 26.3, 40
3.337, 26.7, 67
3.251, 27.4, 32
2.893, 30.9, 100
2.861, 31.3, 49
2.067, 43.8, 34
2.003, 45.3, 35
1.758, 52.0, 30

Cell and atoms:
a b c (Å): 8.157 8.215 5.728
angles (deg): 90.00 92.56 90.00
Sites, in units of the cell vectors:
Cs 0.000 0.000 0.000
Cs 0.500 0.500 0.000
Ge 0.470 0.000 0.536
Ge 0.970 0.500 0.536
Br 0.010 0.500 0.985
Br 0.255 0.230 0.509
Br 0.255 0.770 0.509
Br 0.510 0.000 0.985
Br 0.755 0.270 0.509
Br 0.755 0.730 0.509



Entry 2:
Theoretical powder XRD pattern of CsGeBr3 for Cu Kα X-rays, from a DFT-relaxed cell (GGA-PBE, the Materials Project).
Neutral-atom scattering factors, no anomalous dispersion.

The 10 most intense peaks (2θ from 10° to 80°), low angle first:
d [Å], two_theta, I/Imax
4.065, 21.9, 22
4.000, 22.2, 19
3.346, 26.6, 25
3.275, 27.2, 66
2.851, 31.4, 100
2.032, 44.6, 35
2.000, 45.3, 35
1.717, 53.4, 20
1.637, 56.2, 18
1.267, 75.0, 15

Cell and atoms:
a b c (Å): 8.001 8.001 10.038
angles (deg): 90.00 90.00 120.00
Sites, in units of the cell vectors:
Cs 0.000 0.000 0.000
Cs 0.333 0.667 0.667
Cs 0.667 0.333 0.333
Ge 0.000 0.000 0.481
Ge 0.333 0.667 0.148
Ge 0.667 0.333 0.814
Br 0.013 0.507 0.012
Br 0.160 0.320 0.346
Br 0.160 0.840 0.346
Br 0.346 0.173 0.679
Br 0.493 0.507 0.012
Br 0.493 0.987 0.012
Br 0.680 0.840 0.346
Br 0.827 0.173 0.679
Br 0.827 0.654 0.679